For Nd7Dy16Tm6, the GGA-PBE geometry in Alexandria gives the computed powder X-ray diffraction pattern in this record (a wavelength of 1.5418 Å).

Most intense lines, 10° ≤ 2θ ≤ 90°, sorted by position:
two_theta  d/Å  I/Imax
25.16  3.539  7
27.61  3.231  6
29.32  3.046  5
31.99  2.798  100
33.50  2.675  5
35.88  2.503  5
45.87  1.978  15
57.01  1.615  28
66.88  1.399  8
76.07  1.251  8

Structural model:
Lattice parameters (Å, degrees): 11.192 11.192 11.192 60.00 60.00 60.00
Element x y z (fractional)
Nd1 0.000 0.000 0.000
Nd2 0.000 0.000 0.500
Nd3 0.000 0.500 0.000
Nd4 0.000 0.500 0.500
Nd5 0.500 0.000 0.000
Nd6 0.500 0.000 0.500
Nd7 0.500 0.500 0.000
Dy1 0.053 0.649 0.649
Dy2 0.128 0.128 0.128
Dy3 0.128 0.128 0.615
Dy4 0.128 0.615 0.128
Dy5 0.351 0.351 0.351
Dy6 0.351 0.351 0.947
Dy7 0.351 0.947 0.351
Dy8 0.385 0.872 0.872
Dy9 0.615 0.128 0.128
Dy10 0.649 0.053 0.649
Dy11 0.649 0.649 0.053
Dy12 0.649 0.649 0.649
Dy13 0.872 0.385 0.872
Dy14 0.872 0.872 0.385
Dy15 0.872 0.872 0.872
Dy16 0.947 0.351 0.351
Tm1 0.258 0.258 0.742
Tm2 0.258 0.742 0.258
Tm3 0.258 0.742 0.742
Tm4 0.742 0.258 0.258
Tm5 0.742 0.258 0.742
Tm6 0.742 0.742 0.258